# Ti6NiPd12
Theoretical powder XRD pattern, Cu Ka. Input: a cell relaxed with GGA-PBE.
Peak positions follow from Bragg's law for the DFT cell and can differ from measured ones.

Principal peaks in the range 10 to 90 degrees two-theta, most intense first:
2theta	I/Imax
40.7	1000
42.7	807
40.2	509
42.9	494
40.5	458
30.0	458
45.0	283
32.9	215
77.1	201
32.6	148

Cell and atoms:
Cell lengths 6.6798, 6.6798, 6.6798 Å; angles 89.58, 89.58, 89.58 degrees
Element x y z (fractional)
Ti: 0.2123 0.3807 0.7587
Ti: 0.2413 0.7877 0.6193
Ti: 0.3807 0.7587 0.2123
Ti: 0.6193 0.2413 0.7877
Ti: 0.7587 0.2123 0.3807
Ti: 0.7877 0.6193 0.2413
Ni: 0.5000 0.5000 0.5000
Pd: 0.0378 0.9355 0.2981
Pd: 0.0645 0.7019 0.9622
Pd: 0.1406 0.4797 0.3540
Pd: 0.2981 0.0378 0.9355
Pd: 0.3540 0.1406 0.4797
Pd: 0.4797 0.3540 0.1406
Pd: 0.5203 0.6460 0.8594
Pd: 0.6460 0.8594 0.5203
Pd: 0.7019 0.9622 0.0645
Pd: 0.8594 0.5203 0.6460
Pd: 0.9355 0.2981 0.0378
Pd: 0.9622 0.0645 0.7019


# Ti4Ni15Pd
Theoretical powder XRD pattern, Cu Ka. Input: a cell relaxed with GGA-PBE.
Peak positions follow from Bragg's law for the DFT cell and can differ from measured ones.

Principal peaks in the range 10 to 90 degrees two-theta, most intense first:
2theta	I/Imax
43.3	1000
50.5	466
74.2	268
89.9	104
25.1	11
26.6	9
40.5	7
28.8	6
38.9	6
14.7	5

Cell and atoms:
Cell lengths 3.6149, 3.6149, 18.0930 Å; angles 90.00, 90.00, 90.00 degrees
Element x y z (fractional)
Ti: 0.0000 0.0000 0.1002
Ti: 0.0000 0.0000 0.3011
Ti: 0.0000 0.0000 0.6989
Ti: 0.0000 0.0000 0.8998
Ni: 0.0000 0.5000 0.0000
Ni: 0.0000 0.5000 0.1983
Ni: 0.0000 0.5000 0.3960
Ni: 0.0000 0.5000 0.6040
Ni: 0.0000 0.5000 0.8017
Ni: 0.5000 0.0000 0.0000
Ni: 0.5000 0.0000 0.1983
Ni: 0.5000 0.0000 0.3960
Ni: 0.5000 0.0000 0.6040
Ni: 0.5000 0.0000 0.8017
Ni: 0.5000 0.5000 0.0993
Ni: 0.5000 0.5000 0.2971
Ni: 0.5000 0.5000 0.5000
Ni: 0.5000 0.5000 0.7029
Ni: 0.5000 0.5000 0.9007
Pd: 0.0000 0.0000 0.5000


# Ti2NiPd2
Theoretical powder XRD pattern, Cu Ka. Input: a cell relaxed with GGA-PBE.
Peak positions follow from Bragg's law for the DFT cell and can differ from measured ones.

Principal peaks in the range 10 to 90 degrees two-theta, most intense first:
2theta	I/Imax
37.5	1000
44.2	611
40.5	582
49.8	540
29.0	477
41.3	473
37.1	432
43.6	416
32.1	310
76.8	304

Cell and atoms:
Cell lengths 6.7155, 6.7155, 6.7155 Å; angles 129.89, 67.64, 137.66 degrees
Element x y z (fractional)
Ti: 0.1684 0.1830 0.3514
Ti: 0.3316 0.6830 0.0146
Ti: 0.6684 0.3170 0.9854
Ti: 0.8316 0.8170 0.6486
Ni: 0.2500 0.2500 0.0000
Ni: 0.7500 0.7500 0.0000
Pd: 0.1058 0.6465 0.7524
Pd: 0.3942 0.1465 0.5407
Pd: 0.6058 0.8535 0.4593
Pd: 0.8942 0.3535 0.2476


# Ti4Ni4Pd3
Theoretical powder XRD pattern, Cu Ka. Input: a cell relaxed with GGA-PBE.
Peak positions follow from Bragg's law for the DFT cell and can differ from measured ones.

Principal peaks in the range 10 to 90 degrees two-theta, most intense first:
2theta	I/Imax
39.4	1000
42.4	437
35.3	409
43.8	389
46.7	224
44.0	173
78.7	146
53.8	130
70.8	124
40.6	123

Cell and atoms:
Cell lengths 8.0308, 8.0308, 8.0308 Å; angles 160.16, 115.87, 67.86 degrees
Element x y z (fractional)
Ti: 0.2019 0.2019 0.0000
Ti: 0.2808 0.5000 0.7808
Ti: 0.7192 0.5000 0.2192
Ti: 0.7981 0.7981 0.0000
Ni: 0.0691 0.3243 0.7448
Ni: 0.4205 0.6757 0.7448
Ni: 0.5795 0.3243 0.2552
Ni: 0.9309 0.6757 0.2552
Pd: 0.0000 0.0000 0.0000
Pd: 0.3877 0.8877 0.5000
Pd: 0.6123 0.1123 0.5000


# TlNiPd14
Theoretical powder XRD pattern, Cu Ka. Input: a cell relaxed with GGA-PBE.
Peak positions follow from Bragg's law for the DFT cell and can differ from measured ones.

Principal peaks in the range 10 to 90 degrees two-theta, most intense first:
2theta	I/Imax
42.1	1000
39.2	544
42.2	470
38.3	452
80.3	259
47.7	239
38.5	235
66.9	218
72.9	189
80.0	155

Cell and atoms:
Cell lengths 9.2026, 5.5962, 5.5962 Å; angles 60.27, 90.00, 90.00 degrees
Element x y z (fractional)
Tl: 0.0000 0.0000 0.0000
Ni: 0.0000 0.4996 0.4996
Pd: 0.0000 0.9999 0.5016
Pd: 0.0000 0.5016 0.9999
Pd: 0.2465 0.3338 0.3338
Pd: 0.2489 0.3360 0.8282
Pd: 0.2489 0.8282 0.3360
Pd: 0.2539 0.8314 0.8314
Pd: 0.5000 0.1649 0.1649
Pd: 0.5000 0.1659 0.6634
Pd: 0.5000 0.6634 0.1659
Pd: 0.5000 0.6642 0.6642
Pd: 0.7461 0.8314 0.8314
Pd: 0.7511 0.3360 0.8282
Pd: 0.7511 0.8282 0.3360
Pd: 0.7535 0.3338 0.3338


# V4Ni15Pd
Theoretical powder XRD pattern, Cu Ka. Input: a cell relaxed with GGA-PBE.
Peak positions follow from Bragg's law for the DFT cell and can differ from measured ones.

Principal peaks in the range 10 to 90 degrees two-theta, most intense first:
2theta	I/Imax
43.8	1000
51.1	463
75.1	262
25.4	11
41.0	9
26.8	9
39.3	8
38.7	7
85.1	6
36.9	6

Cell and atoms:
Cell lengths 3.5766, 3.5766, 17.8840 Å; angles 90.00, 90.00, 90.00 degrees
Element x y z (fractional)
V: 0.0000 0.0000 0.1000
V: 0.0000 0.0000 0.3027
V: 0.0000 0.0000 0.6973
V: 0.0000 0.0000 0.9000
Ni: 0.0000 0.5000 0.0000
Ni: 0.0000 0.5000 0.1974
Ni: 0.0000 0.5000 0.3927
Ni: 0.0000 0.5000 0.6073
Ni: 0.0000 0.5000 0.8026
Ni: 0.5000 0.0000 0.0000
Ni: 0.5000 0.0000 0.1974
Ni: 0.5000 0.0000 0.3927
Ni: 0.5000 0.0000 0.6073
Ni: 0.5000 0.0000 0.8026
Ni: 0.5000 0.5000 0.0989
Ni: 0.5000 0.5000 0.2947
Ni: 0.5000 0.5000 0.5000
Ni: 0.5000 0.5000 0.7053
Ni: 0.5000 0.5000 0.9011
Pd: 0.0000 0.0000 0.5000


# V4Ni5Pd
Theoretical powder XRD pattern, Cu Ka. Input: a cell relaxed with GGA-PBE.
Peak positions follow from Bragg's law for the DFT cell and can differ from measured ones.

Principal peaks in the range 10 to 90 degrees two-theta, most intense first:
2theta	I/Imax
47.7	1000
38.8	712
43.2	507
48.8	400
32.1	369
42.2	186
24.4	182
54.9	156
37.7	143
76.4	123

Cell and atoms:
Cell lengths 7.4778, 8.3711, 4.1710 Å; angles 90.00, 90.00, 90.00 degrees
Element x y z (fractional)
V: 0.0483 0.2500 0.0606
V: 0.2500 0.5281 0.2380
V: 0.2500 0.9719 0.2380
V: 0.4517 0.2500 0.0606
V: 0.5483 0.7500 0.9394
V: 0.7500 0.0281 0.7620
V: 0.7500 0.4719 0.7620
V: 0.9517 0.7500 0.9394
Ni: 0.0831 0.0219 0.7461
Ni: 0.0831 0.4781 0.7461
Ni: 0.2500 0.2500 0.5066
Ni: 0.4169 0.0219 0.7461
Ni: 0.4169 0.4781 0.7461
Ni: 0.5831 0.5219 0.2539
Ni: 0.5831 0.9781 0.2539
Ni: 0.7500 0.7500 0.4934
Ni: 0.9169 0.5219 0.2539
Ni: 0.9169 0.9781 0.2539
Pd: 0.2500 0.7500 0.6595
Pd: 0.7500 0.2500 0.3405


# V2Ni5Pd2
Theoretical powder XRD pattern, Cu Ka. Input: a cell relaxed with GGA-PBE.
Peak positions follow from Bragg's law for the DFT cell and can differ from measured ones.

Principal peaks in the range 10 to 90 degrees two-theta, most intense first:
2theta	I/Imax
42.7	1000
42.4	516
42.9	496
49.0	329
49.6	318
50.5	296
72.7	184
73.4	181
87.8	112
87.3	111

Cell and atoms:
Cell lengths 4.4422, 4.5221, 5.8388 Å; angles 83.41, 74.96, 79.67 degrees
Element x y z (fractional)
V: 0.0696 0.1156 0.2704
V: 0.9304 0.8844 0.7296
Ni: 0.2718 0.5678 0.3947
Ni: 0.3985 0.7743 0.9370
Ni: 0.5000 0.0000 0.5000
Ni: 0.6015 0.2257 0.0630
Ni: 0.7282 0.4322 0.6053
Pd: 0.1698 0.3226 0.8274
Pd: 0.8302 0.6774 0.1726


# VNi2Pd4
Theoretical powder XRD pattern, Cu Ka. Input: a cell relaxed with GGA-PBE.
Peak positions follow from Bragg's law for the DFT cell and can differ from measured ones.

Principal peaks in the range 10 to 90 degrees two-theta, most intense first:
2theta	I/Imax
39.1	1000
42.0	676
45.9	648
43.3	522
41.5	476
43.8	458
43.1	446
38.8	412
39.4	351
32.3	339

Cell and atoms:
Cell lengths 6.3409, 5.0668, 6.8930 Å; angles 90.00, 114.47, 90.00 degrees
Element x y z (fractional)
V: 0.0433 0.2500 0.3195
V: 0.9567 0.7500 0.6805
Ni: 0.0113 0.2500 0.9628
Ni: 0.2149 0.7500 0.5136
Ni: 0.7851 0.2500 0.4864
Ni: 0.9887 0.7500 0.0372
Pd: 0.2200 0.2500 0.7100
Pd: 0.3661 0.7500 0.9208
Pd: 0.3720 0.0016 0.2776
Pd: 0.3720 0.4984 0.2776
Pd: 0.6280 0.5016 0.7224
Pd: 0.6280 0.9984 0.7224
Pd: 0.6339 0.2500 0.0792
Pd: 0.7800 0.7500 0.2900


# NiPd6W
Theoretical powder XRD pattern, Cu Ka. Input: a cell relaxed with GGA-PBE.
Peak positions follow from Bragg's law for the DFT cell and can differ from measured ones.

Principal peaks in the range 10 to 90 degrees two-theta, most intense first:
2theta	I/Imax
41.1	1000
44.0	551
36.2	523
40.1	502
44.5	481
40.2	354
45.9	338
41.2	322
17.9	273
44.1	268

Cell and atoms:
Cell lengths 4.9611, 4.9634, 4.9745 Å; angles 91.54, 91.80, 91.52 degrees
Element x y z (fractional)
Ni: 0.0000 0.0000 0.0000
Pd: 0.0138 0.7510 0.4759
Pd: 0.2489 0.5226 0.9841
Pd: 0.4802 0.0127 0.7509
Pd: 0.5198 0.9873 0.2491
Pd: 0.7511 0.4774 0.0159
Pd: 0.9862 0.2490 0.5241
W: 0.5000 0.5000 0.5000


# Ni8Pd6W
Theoretical powder XRD pattern, Cu Ka. Input: a cell relaxed with GGA-PBE.
Peak positions follow from Bragg's law for the DFT cell and can differ from measured ones.

Principal peaks in the range 10 to 90 degrees two-theta, most intense first:
2theta	I/Imax
43.5	1000
45.8	825
31.2	495
65.0	240
83.1	195
14.9	131
46.2	127
40.1	120
22.6	114
89.8	98

Cell and atoms:
Cell lengths 6.8658, 6.8658, 5.2323 Å; angles 90.00, 90.00, 120.00 degrees
Element x y z (fractional)
Ni: 0.0354 0.6733 0.1290
Ni: 0.3267 0.3621 0.1290
Ni: 0.3333 0.6667 0.8902
Ni: 0.3621 0.0354 0.8710
Ni: 0.6379 0.9646 0.1290
Ni: 0.6667 0.3333 0.1098
Ni: 0.6733 0.6379 0.8710
Ni: 0.9646 0.3267 0.8710
Pd: 0.0269 0.6918 0.6399
Pd: 0.3083 0.3352 0.6399
Pd: 0.3352 0.0269 0.3601
Pd: 0.6648 0.9731 0.6399
Pd: 0.6918 0.6648 0.3601
Pd: 0.9731 0.3083 0.3601
W: 0.0000 0.0000 0.0000


# Zn5NiPd
Theoretical powder XRD pattern, Cu Ka. Input: a cell relaxed with GGA-PBE.
Peak positions follow from Bragg's law for the DFT cell and can differ from measured ones.

Principal peaks in the range 10 to 90 degrees two-theta, most intense first:
2theta	I/Imax
42.7	1000
44.4	489
80.6	281
34.2	225
26.1	157
64.7	150
76.8	117
63.9	93
43.4	77
84.4	67

Cell and atoms:
Cell lengths 4.0771, 4.0771, 6.2545 Å; angles 90.00, 90.00, 90.00 degrees
Element x y z (fractional)
Zn: 0.0000 0.0000 0.0000
Zn: 0.0000 0.5000 0.2842
Zn: 0.0000 0.5000 0.7158
Zn: 0.5000 0.0000 0.2842
Zn: 0.5000 0.0000 0.7158
Ni: 0.0000 0.0000 0.5000
Pd: 0.5000 0.5000 0.0000